Simulated powder XRD pattern of Tb2MgS4 for Cu Ka, from a cell relaxed with PBE.

Main lines, in order of rising 2θ (5° ≤ 2θ ≤ 70°):
15.0°, rel. 57; 21.7°, rel. 42; 25.9°, rel. 87; 26.4°, rel. 100; 33.3°, rel. 43; 34.4°, rel. 45; 34.6°, rel. 88; 40.1°, rel. 77; 41.0°, rel. 54; 51.4°, rel. 36

Cell and atoms:
Lattice parameters (Å, degrees): 7.2084 7.2084 7.2084 110.58 110.58 107.27
Sites, in units of the cell vectors:
Tb (0.0071, 0.6250, 0.8821)
Tb (0.3750, 0.2571, 0.3821)
Tb (0.7429, 0.1250, 0.1179)
Tb (0.8750, 0.9929, 0.6179)
Mg (0.2500, 0.7500, 0.5000)
Mg (0.5000, 0.5000, 0.0000)
S (0.0063, 0.8784, 0.2630)
S (0.1216, 0.3846, 0.1279)
S (0.1346, 0.3716, 0.6279)
S (0.2567, 0.9937, 0.8721)
S (0.4933, 0.8654, 0.2370)
S (0.6154, 0.7433, 0.7370)
S (0.6284, 0.2563, 0.7630)
S (0.7437, 0.5067, 0.3721)

Simulated powder XRD pattern of ZrTiW4 for Cu Ka, from a cell relaxed with PBE.

Main lines, in order of rising 2θ (5° ≤ 2θ ≤ 70°):
20.3°, rel. 57; 23.5°, rel. 1; 33.4°, rel. 7; 39.4°, rel. 100; 41.2°, rel. 73; 48.0°, rel. 23; 52.6°, rel. 15; 59.7°, rel. 3; 63.8°, rel. 32

Cell and atoms:
Lattice parameters (Å, degrees): 5.3617 5.3617 5.3617 60.00 60.00 60.00
Sites, in units of the cell vectors:
Zr (0.0000, 0.0000, 0.0000)
Ti (0.7500, 0.7500, 0.7500)
W (0.3751, 0.3751, 0.3751)
W (0.3751, 0.3751, 0.8748)
W (0.3751, 0.8748, 0.3751)
W (0.8748, 0.3751, 0.3751)

Simulated powder XRD pattern of BaO5 for Cu Ka, from a cell relaxed with PBE.

Main lines, in order of rising 2θ (5° ≤ 2θ ≤ 70°):
16.4°, rel. 71; 21.5°, rel. 28; 26.5°, rel. 35; 27.2°, rel. 100; 30.2°, rel. 31; 33.0°, rel. 41; 35.2°, rel. 30; 39.9°, rel. 36; 43.1°, rel. 35; 49.6°, rel. 30

Cell and atoms:
Lattice parameters (Å, degrees): 7.0698 10.7814 5.0953 90.00 90.00 90.00
Sites, in units of the cell vectors:
Ba (0.0629, 0.2500, 0.0243)
Ba (0.4371, 0.7500, 0.5243)
Ba (0.5629, 0.2500, 0.4757)
Ba (0.9371, 0.7500, 0.9757)
O (0.0590, 0.7500, 0.4720)
O (0.0719, 0.0798, 0.5604)
O (0.0719, 0.4202, 0.5604)
O (0.2308, 0.0862, 0.4352)
O (0.2308, 0.4138, 0.4352)
O (0.2692, 0.5862, 0.9352)
O (0.2692, 0.9138, 0.9352)
O (0.4281, 0.5798, 0.0604)
O (0.4281, 0.9202, 0.0604)
O (0.4410, 0.2500, 0.9720)
O (0.5590, 0.7500, 0.0280)
O (0.5719, 0.0798, 0.9396)
O (0.5719, 0.4202, 0.9396)
O (0.7308, 0.0862, 0.0648)
O (0.7308, 0.4138, 0.0648)
O (0.7692, 0.5862, 0.5648)
O (0.7692, 0.9138, 0.5648)
O (0.9281, 0.5798, 0.4396)
O (0.9281, 0.9202, 0.4396)
O (0.9410, 0.2500, 0.5280)

Simulated powder XRD pattern of LiMg6BO7 for Cu Ka, from a cell relaxed with PBE.

Main lines, in order of rising 2θ (5° ≤ 2θ ≤ 70°):
9.7°, rel. 34; 29.4°, rel. 16; 30.7°, rel. 11; 32.3°, rel. 16; 36.6°, rel. 18; 39.6°, rel. 46; 44.0°, rel. 100; 59.9°, rel. 12; 60.6°, rel. 44; 63.9°, rel. 27

Cell and atoms:
Lattice parameters (Å, degrees): 4.1202 4.1202 9.1119 90.00 90.00 90.00
Sites, in units of the cell vectors:
Li (0.0000, 0.0000, 0.0000)
Mg (0.0000, 0.0000, 0.5435)
Mg (0.0000, 0.5000, 0.2371)
Mg (0.0000, 0.5000, 0.7831)
Mg (0.5000, 0.0000, 0.2371)
Mg (0.5000, 0.0000, 0.7831)
Mg (0.5000, 0.5000, 0.5044)
B (0.5000, 0.5000, 0.9754)
O (0.0000, 0.0000, 0.7745)
O (0.0000, 0.5000, 0.0149)
O (0.0000, 0.5000, 0.5496)
O (0.5000, 0.0000, 0.0149)
O (0.5000, 0.0000, 0.5496)
O (0.5000, 0.5000, 0.2841)
O (0.5000, 0.5000, 0.8236)

Simulated powder XRD pattern of Sr2Ti2O5 for Cu Ka, from a cell relaxed with PBE.

Main lines, in order of rising 2θ (5° ≤ 2θ ≤ 70°):
31.7°, rel. 25; 31.9°, rel. 100; 39.2°, rel. 10; 39.3°, rel. 10; 45.5°, rel. 29; 45.9°, rel. 14; 56.5°, rel. 15; 56.7°, rel. 15; 56.9°, rel. 14; 66.6°, rel. 15

Cell and atoms:
Lattice parameters (Å, degrees): 5.6535 15.8043 5.6289 90.00 90.00 90.00
Sites, in units of the cell vectors:
Sr (0.0011, 0.1152, 0.0045)
Sr (0.0011, 0.3848, 0.0045)
Sr (0.4989, 0.6152, 0.5045)
Sr (0.4989, 0.8848, 0.5045)
Sr (0.5011, 0.1152, 0.4955)
Sr (0.5011, 0.3848, 0.4955)
Sr (0.9989, 0.6152, 0.9955)
Sr (0.9989, 0.8848, 0.9955)
Ti (0.0000, 0.0000, 0.5000)
Ti (0.0000, 0.5000, 0.5000)
Ti (0.0205, 0.2500, 0.5271)
Ti (0.4795, 0.7500, 0.0271)
Ti (0.5000, 0.0000, 0.0000)
Ti (0.5000, 0.5000, 0.0000)
Ti (0.5205, 0.2500, 0.9729)
Ti (0.9795, 0.7500, 0.4729)
O (0.0050, 0.1292, 0.4735)
O (0.0050, 0.3708, 0.4735)
O (0.1916, 0.7500, 0.2057)
O (0.2445, 0.0050, 0.7552)
O (0.2445, 0.4950, 0.7552)
O (0.2555, 0.5050, 0.2552)
O (0.2555, 0.9950, 0.2552)
O (0.3084, 0.2500, 0.7057)
O (0.4950, 0.6292, 0.9735)
O (0.4950, 0.8708, 0.9735)
O (0.5050, 0.1292, 0.0265)
O (0.5050, 0.3708, 0.0265)
O (0.6916, 0.7500, 0.2943)
O (0.7445, 0.0050, 0.7448)
O (0.7445, 0.4950, 0.7448)
O (0.7555, 0.5050, 0.2448)
O (0.7555, 0.9950, 0.2448)
O (0.8084, 0.2500, 0.7943)
O (0.9950, 0.6292, 0.5265)
O (0.9950, 0.8708, 0.5265)

Simulated powder XRD pattern of Eu2MgTiO4 for Cu Ka, from a cell relaxed with PBE.

Main lines, in order of rising 2θ (5° ≤ 2θ ≤ 70°):
10.9°, rel. 38; 22.0°, rel. 35; 22.4°, rel. 49; 23.5°, rel. 46; 28.3°, rel. 39; 31.6°, rel. 86; 32.7°, rel. 100; 36.1°, rel. 65; 36.4°, rel. 33; 42.9°, rel. 47

Cell and atoms:
Lattice parameters (Å, degrees): 16.1750 3.8863 3.9649 90.00 90.04 90.00
Sites, in units of the cell vectors:
Eu (0.0000, 0.0000, 0.0000)
Eu (0.2267, 0.0000, 0.9960)
Eu (0.5000, 0.5000, 0.0000)
Eu (0.7267, 0.5000, 0.9960)
Mg (0.3927, 0.0000, 0.5002)
Mg (0.8927, 0.5000, 0.5002)
Ti (0.1202, 0.5000, 0.4993)
Ti (0.6202, 0.0000, 0.4993)
O (0.1062, 0.5000, 0.0007)
O (0.1089, 0.0000, 0.4991)
O (0.2370, 0.5000, 0.5069)
O (0.3731, 0.0000, 0.0003)
O (0.6062, 0.0000, 0.0007)
O (0.6089, 0.5000, 0.4991)
O (0.7370, 0.0000, 0.5069)
O (0.8731, 0.5000, 0.0003)